1.
Theoretical PXRD pattern
Compound: LaAsBr2
Radiation: CuKα
Structure: a structure optimized by DFT (PBE)
No peak broadening, texture or thermal motion is included.

Atomic structure:
```
data_LaAsBr2
_chemical_formula_sum 'La3 As3 Br6'
_cell_length_a 4.7718
_cell_length_b 4.7718
_cell_length_c 20.4828
_cell_angle_alpha 90.00
_cell_angle_beta 90.00
_cell_angle_gamma 120.00
_space_group_name_H-M_alt 'R 3 m'
_space_group_IT_number 160
_space_group_name_Hall 'R 3 -2"'
loop_
_atom_site_label
_atom_site_type_symbol
_atom_site_fract_x
_atom_site_fract_y
_atom_site_fract_z
_atom_site_occupancy
La1 La 0.0000 0.0000 0.0000 1
As1 As 0.0000 0.0000 0.7439 1
Br1 Br 0.0000 0.0000 0.2495 1
Br2 Br 0.0000 0.0000 0.4203 1
```

The 10 most intense peaks (10 to 90 degrees two-theta), most intense first:
- hkl 1 1 0, 2θ = 37.7°, I 100
- hkl 1 0 4, 2θ = 27.7°, I 87
- hkl 0 0 3, 2θ = 13.0°, I 58
- hkl 0 1 5, 2θ = 30.7°, I 34
- hkl 1 1 12, 2θ = 67.5°, I 24
- hkl 0 1 8, 2θ = 41.5°, I 23
- hkl 3 0 0, 2θ = 68.1°, I 22
- hkl 1 1 3, 2θ = 40.0°, I 22
- hkl 0 2 4, 2θ = 47.4°, I 20
- hkl 2 1 4, 2θ = 62.1°, I 17

=====

2.
Theoretical PXRD pattern
Compound: CrMo4W4
Radiation: CuKα
Structure: a structure optimized by DFT (PBE)
No peak broadening, texture or thermal motion is included.

Atomic structure:
```
data_CrMo4W4
_chemical_formula_sum 'Cr4 Mo16 W16'
_cell_length_a 4.449
_cell_length_b 9.445
_cell_length_c 13.373
_cell_angle_alpha 90.00
_cell_angle_beta 90.00
_cell_angle_gamma 90.00
_space_group_name_H-M_alt 'F m m m'
_space_group_IT_number 69
_space_group_name_Hall '-F 2 2'
loop_
_atom_site_label
_atom_site_type_symbol
_atom_site_fract_x
_atom_site_fract_y
_atom_site_fract_z
_atom_site_occupancy
Cr1 Cr 0.000 0.000 0.000 1
Mo1 Mo 0.000 0.166 0.165 1
W1 W 0.000 0.000 0.334 1
W2 W 0.000 0.165 0.500 1
```

The 10 most intense peaks (10 to 90 degrees two-theta), most intense first:
- hkl 2 0 0, 2θ = 40.5°, I 100
- hkl 1 3 9, 2θ = 73.7°, I 18
- hkl 2 0 6, 2θ = 58.6°, I 17
- hkl 3 3 3, 2θ = 73.7°, I 17
- hkl 1 1 1, 2θ = 23.1°, I 13
- hkl 2 6 6, 2θ = 87.7°, I 7
- hkl 1 1 7, 2θ = 53.1°, I 3
- hkl 0 4 4, 2θ = 47.1°, I 2
- hkl 0 0 12, 2θ = 87.5°, I 2
- hkl 2 4 4, 2θ = 63.9°, I 2

=====

3.
Theoretical PXRD pattern
Compound: Sr2TlAg3
Radiation: CuKα
Structure: a structure optimized by DFT (PBE)
No peak broadening, texture or thermal motion is included.

Atomic structure:
```
data_Sr2TlAg3
_chemical_formula_sum 'Sr16 Tl8 Ag24'
_cell_length_a 8.102
_cell_length_b 9.881
_cell_length_c 17.117
_cell_angle_alpha 90.00
_cell_angle_beta 90.00
_cell_angle_gamma 90.00
_space_group_name_H-M_alt 'F m m m'
_space_group_IT_number 69
_space_group_name_Hall '-F 2 2'
loop_
_atom_site_label
_atom_site_type_symbol
_atom_site_fract_x
_atom_site_fract_y
_atom_site_fract_z
_atom_site_occupancy
Sr1 Sr 0.246 0.000 0.000 1
Sr2 Sr 0.250 0.250 0.250 1
Tl1 Tl 0.000 0.000 0.333 1
Ag1 Ag 0.000 0.000 0.164 1
Ag2 Ag 0.000 0.247 0.082 1
```

The 10 most intense peaks (10 to 90 degrees two-theta), most intense first:
- hkl 2 2 2, 2θ = 30.4°, I 100
- hkl 0 4 0, 2θ = 36.4°, I 79
- hkl 4 4 0, 2θ = 59.0°, I 38
- hkl 2 0 8, 2θ = 48.1°, I 27
- hkl 2 4 8, 2θ = 61.8°, I 25
- hkl 2 4 0, 2θ = 42.9°, I 25
- hkl 2 0 0, 2θ = 21.9°, I 25
- hkl 4 0 0, 2θ = 44.7°, I 15
- hkl 4 6 6, 2θ = 82.8°, I 14
- hkl 0 6 6, 2θ = 65.4°, I 14

=====

4.
Theoretical PXRD pattern
Compound: Ba2AlH7
Radiation: CuKα
Structure: a structure optimized by DFT (PBE)
No peak broadening, texture or thermal motion is included.

Atomic structure:
```
data_Ba2AlH7
_chemical_formula_sum 'Ba16 Al8 H56'
_cell_length_a 14.163
_cell_length_b 10.183
_cell_length_c 8.494
_cell_angle_alpha 90.00
_cell_angle_beta 114.85
_cell_angle_gamma 90.00
_space_group_name_H-M_alt 'C 1 2/c 1'
_space_group_IT_number 15
_space_group_name_Hall '-C 2yc'
loop_
_atom_site_label
_atom_site_type_symbol
_atom_site_fract_x
_atom_site_fract_y
_atom_site_fract_z
_atom_site_occupancy
Ba1 Ba 0.093 0.165 0.018 1
Ba2 Ba 0.143 0.425 0.477 1
Al1 Al 0.176 0.144 0.700 1
H1 H 0.058 0.397 0.125 1
H2 H 0.081 0.043 0.717 1
H3 H 0.100 0.152 0.475 1
H4 H 0.101 0.281 0.721 1
H5 H 0.234 0.252 0.327 1
H6 H 0.242 0.004 0.684 1
H7 H 0.250 0.145 0.923 1
```

The 10 most intense peaks (10 to 90 degrees two-theta), most intense first:
- hkl 2 2 1, 2θ = 27.7°, I 100
- hkl 2 2 -1, 2θ = 22.3°, I 58
- hkl 0 0 2, 2θ = 23.1°, I 44
- hkl 3 1 -2, 2θ = 25.3°, I 22
- hkl 1 3 0, 2θ = 27.2°, I 20
- hkl 2 2 -3, 2θ = 36.3°, I 20
- hkl 1 3 -2, 2θ = 33.9°, I 16
- hkl 3 5 1, 2θ = 53.3°, I 13
- hkl 3 1 -1, 2θ = 20.9°, I 13
- hkl 4 0 2, 2θ = 43.6°, I 13

=====

5.
Theoretical PXRD pattern
Compound: Ac6Rh2SeBr3
Radiation: CuKα
Structure: a structure optimized by DFT (PBE)
No peak broadening, texture or thermal motion is included.

Atomic structure:
```
data_Ac6Rh2SeBr3
_chemical_formula_sum 'Ac12 Rh4 Se2 Br6'
_cell_length_a 7.731
_cell_length_b 13.380
_cell_length_c 8.499
_cell_angle_alpha 90.00
_cell_angle_beta 107.59
_cell_angle_gamma 90.00
_space_group_name_H-M_alt 'C 1 2/m 1'
_space_group_IT_number 12
_space_group_name_Hall '-C 2y'
loop_
_atom_site_label
_atom_site_type_symbol
_atom_site_fract_x
_atom_site_fract_y
_atom_site_fract_z
_atom_site_occupancy
Ac1 Ac 0.210 0.000 0.199 1
Ac2 Ac 0.245 0.322 0.200 1
Rh1 Rh 0.000 0.167 0.000 1
Se1 Se 0.000 0.500 0.000 1
Br1 Br 0.000 0.000 0.500 1
Br2 Br 0.000 0.339 0.500 1
```

The 10 most intense peaks (10 to 90 degrees two-theta), most intense first:
- hkl 1 3 1, 2θ = 27.4°, I 100
- hkl 0 6 0, 2θ = 40.4°, I 38
- hkl 2 0 2, 2θ = 37.7°, I 29
- hkl 1 3 -1, 2θ = 24.2°, I 23
- hkl 0 0 1, 2θ = 10.9°, I 18
- hkl 4 0 0, 2θ = 49.5°, I 18
- hkl 2 0 -3, 2θ = 34.7°, I 16
- hkl 1 3 -4, 2θ = 47.4°, I 12
- hkl 3 3 -4, 2θ = 53.3°, I 10
- hkl 4 6 0, 2θ = 65.7°, I 10

=====

6.
Theoretical PXRD pattern
Compound: Zr3As2
Radiation: CuKα
Structure: a structure optimized by DFT (PBE)
No peak broadening, texture or thermal motion is included.

Atomic structure:
```
data_Zr3As2
_chemical_formula_sum 'Zr12 As8'
_cell_length_a 10.619
_cell_length_b 3.767
_cell_length_c 10.194
_cell_angle_alpha 90.00
_cell_angle_beta 90.00
_cell_angle_gamma 90.00
_space_group_name_H-M_alt 'P n m a'
_space_group_IT_number 62
_space_group_name_Hall '-P 2ac 2n'
loop_
_atom_site_label
_atom_site_type_symbol
_atom_site_fract_x
_atom_site_fract_y
_atom_site_fract_z
_atom_site_occupancy
Zr1 Zr 0.044 0.250 0.125 1
Zr2 Zr 0.123 0.750 0.567 1
Zr3 Zr 0.214 0.250 0.796 1
As1 As 0.029 0.750 0.320 1
As2 As 0.195 0.750 0.000 1
```

The 10 most intense peaks (10 to 90 degrees two-theta), most intense first:
- hkl 3 1 2, 2θ = 39.2°, I 100
- hkl 0 1 3, 2θ = 35.6°, I 66
- hkl 3 0 2, 2θ = 30.7°, I 57
- hkl 1 1 3, 2θ = 36.6°, I 53
- hkl 3 1 1, 2θ = 35.9°, I 50
- hkl 0 2 0, 2θ = 48.3°, I 46
- hkl 2 1 2, 2θ = 34.1°, I 44
- hkl 4 0 1, 2θ = 34.9°, I 38
- hkl 4 1 2, 2θ = 45.4°, I 33
- hkl 1 0 4, 2θ = 36.2°, I 30